Simulated powder X-ray diffraction pattern
Compound: Ca2AlPbF9
Radiation: Cu Kα
Structure: a PBE-relaxed structure

Structural model:
a = 5.448 Å, b = 5.453 Å, c = 12.354 Å
α = 91.64°, β = 100.86°, γ = 92.05°
Space group P-1 (No. 2)
Symmetry-distinct sites (fractional):
Ca  0.040  0.259  0.113 [2 per cell]
Ca  0.450  0.233  0.887 [2 per cell]
Al  0.200  0.710  0.317 [2 per cell]
Pb  0.270  0.785  0.605 [2 per cell]
F  0.039  0.908  0.400 [2 per cell]
F  0.087  0.389  0.780 [2 per cell]
F  0.146  0.457  0.404 [2 per cell]
F  0.251  0.013  0.006 [2 per cell]
F  0.252  0.509  0.001 [2 per cell]
F  0.255  0.888  0.791 [2 per cell]
F  0.255  0.952  0.224 [2 per cell]
F  0.367  0.503  0.235 [2 per cell]
F  0.495  0.802  0.407 [2 per cell]

Largest 8 diffraction maxima, by angle, 15 to 90 degrees two-theta:
| two_theta | I/Imax |
| --- | --- |
| 22.33 | 43 |
| 22.82 | 75 |
| 23.80 | 100 |
| 24.77 | 76 |
| 26.00 | 59 |
| 32.91 | 47 |
| 45.54 | 66 |
| 48.09 | 53 |